Record 1
The following is a theoretical PXRD pattern of KRb4ReO6. It was derived from a structure optimized by DFT (PBE), using Cu Kα (λ = 1.5418 Å).

Atomic structure:
a = 6.5713 Å, b = 6.5713 Å, c = 6.3706 Å
α = 100.77°, β = 100.77°, γ = 120.20°
Element x y z (fractional)
1 K 0.0000 0.0000 0.0000
2 Rb 0.1668 0.8332 0.5000
3 Rb 0.3310 0.6690 0.0000
4 Rb 0.6690 0.3310 0.0000
5 Rb 0.8332 0.1668 0.5000
6 Re 0.5000 0.5000 0.5000
7 O 0.1935 0.4311 0.3078
8 O 0.3249 0.3249 0.6836
9 O 0.4311 0.1935 0.3078
10 O 0.5689 0.8065 0.6922
11 O 0.6751 0.6751 0.3164
12 O 0.8065 0.5689 0.6922

Peak list (10 most intense, 2θ = 5–70°, in order of rising 2θ)
| Position (°2θ) | I (rel.) |
| --- | --- |
| 15.00 | 29.8 |
| 16.54 | 44.9 |
| 28.82 | 100.0 |
| 29.41 | 46.6 |
| 30.27 | 42.3 |
| 33.47 | 52.5 |
| 34.26 | 99.4 |
| 48.08 | 32.2 |
| 49.22 | 31.7 |
| 59.71 | 29.2 |

***

Record 2
The following is a theoretical PXRD pattern of LaNdCu2P4. It was derived from a structure optimized by DFT (PBE), using Cu Kα (λ = 1.5418 Å).

Atomic structure:
a = 3.8202 Å, b = 3.8202 Å, c = 10.1487 Å
α = 90.00°, β = 90.00°, γ = 90.00°
Element x y z (fractional)
1 La 0.0000 0.0000 0.0000
2 Nd 0.5000 0.5000 0.4689
3 Cu 0.0000 0.5000 0.7316
4 Cu 0.5000 0.0000 0.7316
5 P 0.0000 0.0000 0.5886
6 P 0.0000 0.5000 0.2379
7 P 0.5000 0.0000 0.2379
8 P 0.5000 0.5000 0.8729

Peak list (10 most intense, 2θ = 5–70°, in order of rising 2θ)
| Position (°2θ) | I (rel.) |
| --- | --- |
| 8.71 | 24.5 |
| 24.90 | 65.7 |
| 29.26 | 11.2 |
| 35.42 | 64.3 |
| 37.73 | 100.0 |
| 47.61 | 31.0 |
| 50.95 | 16.4 |
| 54.46 | 16.0 |
| 60.71 | 34.6 |
| 65.06 | 12.7 |

***

Record 3
The following is a theoretical PXRD pattern of Dy7Co6Sn23. It was derived from a structure optimized by DFT (PBE), using Cu Kα (λ = 1.5418 Å).

Atomic structure:
a = 10.1844 Å, b = 10.1844 Å, c = 10.7304 Å
α = 90.00°, β = 90.00°, γ = 120.00°
Element x y z (fractional)
1 Dy 0.0000 0.0000 0.0000
2 Dy 0.0583 0.5292 0.2936
3 Dy 0.4708 0.5292 0.2936
4 Dy 0.4708 0.9417 0.2936
5 Dy 0.5292 0.0583 0.7064
6 Dy 0.5292 0.4708 0.7064
7 Dy 0.9417 0.4708 0.7064
8 Co 0.1973 0.3945 0.1481
9 Co 0.1973 0.8027 0.1481
10 Co 0.3945 0.1973 0.8519
11 Co 0.6055 0.8027 0.1481
12 Co 0.8027 0.1973 0.8519
13 Co 0.8027 0.6055 0.8519
14 Sn 0.0000 0.0000 0.5000
15 Sn 0.0000 0.3465 0.0000
16 Sn 0.0000 0.6535 0.0000
17 Sn 0.1067 0.2134 0.3049
18 Sn 0.1067 0.8933 0.3049
19 Sn 0.2134 0.1067 0.6951
20 Sn 0.2289 0.4578 0.5549
21 Sn 0.2289 0.7711 0.5549
22 Sn 0.3333 0.6667 0.0938
23 Sn 0.3333 0.6667 0.7915
24 Sn 0.3465 0.0000 0.0000
25 Sn 0.3465 0.3465 0.0000
26 Sn 0.4578 0.2289 0.4451
27 Sn 0.5422 0.7711 0.5549
28 Sn 0.6535 0.0000 0.0000
29 Sn 0.6535 0.6535 0.0000
30 Sn 0.6667 0.3333 0.2085
31 Sn 0.6667 0.3333 0.9062
32 Sn 0.7711 0.2289 0.4451
33 Sn 0.7711 0.5422 0.4451
34 Sn 0.7866 0.8933 0.3049
35 Sn 0.8933 0.1067 0.6951
36 Sn 0.8933 0.7866 0.6951

Peak list (10 most intense, 2θ = 5–70°, in order of rising 2θ)
| Position (°2θ) | I (rel.) |
| --- | --- |
| 21.79 | 13.6 |
| 31.57 | 100.0 |
| 32.22 | 24.3 |
| 34.80 | 46.1 |
| 34.96 | 11.7 |
| 36.86 | 16.4 |
| 44.89 | 9.0 |
| 52.81 | 12.0 |
| 54.04 | 26.4 |
| 57.02 | 12.4 |

***

Record 4
The following is a theoretical PXRD pattern of Pr2B13. It was derived from a structure optimized by DFT (PBE), using Cu Kα (λ = 1.5418 Å).

Atomic structure:
a = 5.7717 Å, b = 5.7717 Å, c = 5.7717 Å
α = 81.90°, β = 81.90°, γ = 81.90°
Element x y z (fractional)
1 Pr 0.2205 0.2205 0.2205
2 Pr 0.7795 0.7795 0.7795
3 B 0.0000 0.0000 0.0000
4 B 0.1303 0.5278 0.5278
5 B 0.3000 0.6603 0.6603
6 B 0.3397 0.3397 0.7000
7 B 0.3397 0.7000 0.3397
8 B 0.4722 0.4722 0.8697
9 B 0.4722 0.8697 0.4722
10 B 0.5278 0.1303 0.5278
11 B 0.5278 0.5278 0.1303
12 B 0.6603 0.3000 0.6603
13 B 0.6603 0.6603 0.3000
14 B 0.7000 0.3397 0.3397
15 B 0.8697 0.4722 0.4722

Peak list (10 most intense, 2θ = 5–70°, in order of rising 2θ)
| Position (°2θ) | I (rel.) |
| --- | --- |
| 20.74 | 82.5 |
| 23.52 | 100.0 |
| 31.56 | 35.9 |
| 33.55 | 19.1 |
| 34.53 | 19.6 |
| 39.73 | 48.4 |
| 42.22 | 28.0 |
| 48.12 | 24.1 |
| 48.89 | 25.0 |
| 52.92 | 17.5 |